Diffraction record for BaMn4O8. The powder X-ray diffraction pattern is theoretical, not measured: it uses a crystal structure in the Materials Project, relaxed with GGA+U and Cu Kα.
No peak broadening, texture or thermal motion is included.

Atomic structure:
```
13
Lattice="5.6458 0.0000 0.0000 -2.8229 4.8894 0.0000 0.0000 0.0000 7.7729" Properties=species:S:1:pos:R:3 pbc="T T T"
Ba 0.0000 0.0000 0.0000
Mn 0.0000 3.2596 1.8793
Mn 0.0000 3.2596 5.8936
Mn 2.8229 1.6298 1.8793
Mn 2.8229 1.6298 5.8936
O -1.0155 1.7589 2.2188
O -1.8074 3.1305 5.5541
O 0.0000 3.2596 0.0000
O 2.0310 0.0000 2.2188
O 1.0155 1.7589 5.5541
O 3.6148 0.0000 5.5541
O 1.8074 3.1305 2.2188
O 2.8229 1.6298 0.0000
```

Largest 10 diffraction maxima, in order of falling intensity, 2θ from 10° to 90°:
- d = 3.042 Å, intensity 100, (1 0 2)
- d = 2.823 Å, intensity 86, (1 1 0)
- d = 7.773 Å, intensity 67, (0 0 1)
- d = 2.653 Å, intensity 52, (2 -1 1)
- d = 4.139 Å, intensity 47, (1 0 1)
- d = 1.601 Å, intensity 32, (2 -1 4)
- d = 1.669 Å, intensity 30, (3 -1 2)
- d = 1.630 Å, intensity 28, (3 0 0)
- d = 2.069 Å, intensity 26, (2 0 2)
- d = 1.249 Å, intensity 18, (3 0 4)